# 1
Computed powder diffractogram
Compound: FeAgBr4
Radiation: Cu Kα
Structure: a structure optimized by DFT (PBE)

Cell and atoms:
abc: 6.2758 6.2779 11.6654
angles: 90.00 90.00 90.00
Space group P222 (No. 16)
Unique sites:
Fe 0.0000 0.0000 0.0000
Fe 0.0000 0.5000 0.5000
Ag 0.0000 0.0000 0.5000
Ag 0.5000 0.0000 0.0000
Br 0.2095 0.2228 0.1198
Br 0.2246 0.2911 0.6191

Most intense lines, 10° ≤ 2θ ≤ 80°, by angle:
index	2θ/deg	d_spacing	intensity
1 0 0	14.11	6.277	26
0 0 2	15.19	5.833	32
0 1 1	16.03	5.528	34
1 1 2	25.21	3.532	100
2 2 0	40.65	2.219	27
2 0 4	42.31	2.136	54

---

# 2
Computed powder diffractogram
Compound: GaAgI3Br
Radiation: Cu Kα
Structure: a structure optimized by DFT (PBE)

Cell and atoms:
abc: 6.4296 6.4820 7.3856
angles: 64.14 65.43 89.88
Space group P1 (No. 1)
Unique sites:
Ga 0.0000 0.0000 0.0000
Ag 0.2466 0.7453 0.4974
I 0.3673 0.8992 0.7550
I 0.6572 0.6331 0.2408
I 0.8678 0.3476 0.7577
Br 0.0991 0.1070 0.2313

Most intense lines, 10° ≤ 2θ ≤ 80°, by angle:
index	2θ/deg	d_spacing	intensity
0 1 1	15.59	5.683	37
1 1 0	24.39	3.649	51
-1 1 1	24.50	3.634	53
1 -1 1	24.88	3.578	100
2 -2 0	39.49	2.282	46
2 0 -1	41.01	2.201	22

---

# 3
Computed powder diffractogram
Compound: GaAgI2Br2
Radiation: Cu Kα
Structure: a structure optimized by DFT (PBE)

Cell and atoms:
abc: 6.3563 6.3576 7.1960
angles: 114.28 114.76 90.37
Space group P1 (No. 1)
Unique sites:
Ga 0.0000 0.0000 0.0000
Ag 0.2404 0.7481 0.4997
I 0.6552 0.6308 0.7577
I 0.8656 0.3443 0.2432
Br 0.1028 0.1160 0.7669
Br 0.3418 0.9034 0.2334

Most intense lines, 10° ≤ 2θ ≤ 80°, by angle:
index	2θ/deg	d_spacing	intensity
0 1 -1	16.09	5.507	97
1 1 0	24.58	3.621	100
-1 1 1	24.90	3.575	95
1 -1 1	25.07	3.552	95
1 1 -2	25.61	3.478	88
1 -3 0	47.41	1.918	43